This entry pairs a crystal structure of SrLi2Au with its calculated PXRD pattern. Radiation: CuKα. Structure: DFT lattice parameters and positions (PBE).

Largest 10 diffraction maxima, most intense first, 2θ = 15–90°:
Position (°2θ)	d/Å	intensity
23.05	3.859	100
35.31	2.542	52
31.23	2.864	50
39.33	2.291	41
16.07	5.516	27
24.89	3.578	27
51.93	1.761	16
46.08	1.970	16
32.46	2.758	15
62.14	1.494	13

Atomic structure:
```
data_SrLi2Au
_chemical_formula_sum 'Sr1 Li2 Au1'
_symmetry_space_group_name_H-M 'P 1'
_symmetry_Int_Tables_number 1
_cell_length_a 4.583
_cell_length_b 4.583
_cell_length_c 6.127
_cell_angle_alpha 112.15
_cell_angle_beta 112.15
_cell_angle_gamma 59.96
loop_
_symmetry_equiv_pos_as_xyz
'x,y,z'
loop_
_atom_site_label
_atom_site_fract_x
_atom_site_fract_y
_atom_site_fract_z
Sr1 0.000 0.000 0.000
Li1 0.516 0.516 0.546
Li2 0.806 0.806 0.417
Au1 0.201 0.201 0.602
```